Diffraction record for PrSmZr2As2. The powder diffraction line list is computed, not measured: it uses DFT lattice parameters and positions (GGA-PBE) and Cu Kα, 1.54184 Å.
Kinematic intensities with the Lorentz-polarization factor, no thermal factor.

Top 6 peaks for 10° ≤ 2θ ≤ 90°, most intense first:
- 2θ = 32.3°, rel. 100
- 2θ = 37.6°, rel. 85
- 2θ = 43.4°, rel. 65
- 2θ = 34.9°, rel. 63
- 2θ = 32.9°, rel. 38
- 2θ = 26.9°, rel. 35

Cell lengths 4.173, 4.173, 16.347 Å; angles 90.00, 90.00, 90.00 degrees
Atoms (fractional coordinates):
Pr (0.000, 0.000, 0.000)
Pr (0.500, 0.500, 0.500)
Sm (0.000, 0.000, 0.354)
Sm (0.500, 0.500, 0.854)
Zr (0.000, 0.500, 0.179)
Zr (0.000, 0.500, 0.679)
Zr (0.500, 0.000, 0.179)
Zr (0.500, 0.000, 0.679)
As (0.000, 0.000, 0.552)
As (0.000, 0.000, 0.805)
As (0.500, 0.500, 0.052)
As (0.500, 0.500, 0.305)

Diffraction record for LiFeCuTe2S. The powder diffraction line list is computed, not measured: it uses DFT lattice parameters and positions (GGA-PBE) and Cu Kα, 1.54184 Å.
Kinematic intensities with the Lorentz-polarization factor, no thermal factor.

Top 6 peaks for 10° ≤ 2θ ≤ 90°, most intense first:
- 2θ = 27.7°, rel. 100
- 2θ = 34.9°, rel. 53
- 2θ = 45.1°, rel. 52
- 2θ = 20.3°, rel. 42
- 2θ = 50.4°, rel. 31
- 2θ = 28.1°, rel. 31

Cell lengths 8.753, 3.220, 9.533 Å; angles 90.00, 90.00, 90.00 degrees
Atoms (fractional coordinates):
Li (0.250, 0.000, 0.014)
Li (0.750, 0.000, 0.986)
Fe (0.000, 0.000, 0.500)
Fe (0.500, 0.000, 0.500)
Cu (0.250, 0.000, 0.300)
Cu (0.750, 0.000, 0.700)
Te (0.013, 0.000, 0.808)
Te (0.487, 0.000, 0.808)
Te (0.513, 0.000, 0.192)
Te (0.987, 0.000, 0.192)
S (0.250, 0.000, 0.529)
S (0.750, 0.000, 0.471)

Diffraction record for ZnIrCl6. The powder diffraction line list is computed, not measured: it uses DFT lattice parameters and positions (GGA-PBE) and Cu Kα, 1.54184 Å.
Kinematic intensities with the Lorentz-polarization factor, no thermal factor.

Top 6 peaks for 10° ≤ 2θ ≤ 90°, most intense first:
- 2θ = 15.2°, rel. 100
- 2θ = 35.9°, rel. 97
- 2θ = 17.5°, rel. 58
- 2θ = 29.7°, rel. 46
- 2θ = 19.7°, rel. 41
- 2θ = 16.8°, rel. 32

Cell lengths 6.108, 10.573, 6.159 Å; angles 90.00, 109.09, 90.00 degrees
Atoms (fractional coordinates):
Zn (0.000, 0.000, 0.000)
Zn (0.500, 0.500, 0.000)
Ir (0.000, 0.333, 0.000)
Ir (0.500, 0.833, 0.000)
Cl (0.225, 0.174, 0.232)
Cl (0.237, 0.337, 0.771)
Cl (0.239, 0.487, 0.231)
Cl (0.261, 0.987, 0.769)
Cl (0.263, 0.837, 0.229)
Cl (0.275, 0.674, 0.768)
Cl (0.725, 0.674, 0.232)
Cl (0.737, 0.837, 0.771)
Cl (0.739, 0.987, 0.231)
Cl (0.761, 0.487, 0.769)
Cl (0.763, 0.337, 0.229)
Cl (0.775, 0.174, 0.768)

Diffraction record for AlCdSiH6. The powder diffraction line list is computed, not measured: it uses DFT lattice parameters and positions (GGA-PBE) and Cu Kα, 1.54184 Å.
Kinematic intensities with the Lorentz-polarization factor, no thermal factor.

Top 6 peaks for 10° ≤ 2θ ≤ 90°, most intense first:
- 2θ = 36.1°, rel. 100
- 2θ = 21.9°, rel. 73
- 2θ = 25.3°, rel. 54
- 2θ = 42.6°, rel. 38
- 2θ = 64.9°, rel. 34
- 2θ = 58.6°, rel. 21

Cell lengths 4.979, 4.979, 4.979 Å; angles 60.00, 60.00, 60.00 degrees
Atoms (fractional coordinates):
Al (0.000, 0.000, 0.000)
Cd (0.500, 0.500, 0.500)
Si (0.250, 0.250, 0.250)
H (0.018, 0.018, 0.482)
H (0.018, 0.482, 0.018)
H (0.018, 0.482, 0.482)
H (0.482, 0.018, 0.018)
H (0.482, 0.018, 0.482)
H (0.482, 0.482, 0.018)

Diffraction record for Cu7Ag. The powder diffraction line list is computed, not measured: it uses DFT lattice parameters and positions (GGA-PBE) and Cu Kα, 1.54184 Å.
Kinematic intensities with the Lorentz-polarization factor, no thermal factor.

Top 6 peaks for 10° ≤ 2θ ≤ 90°, most intense first:
- 2θ = 42.4°, rel. 100
- 2θ = 42.5°, rel. 98
- 2θ = 49.0°, rel. 64
- 2θ = 72.8°, rel. 34
- 2θ = 50.2°, rel. 29
- 2θ = 87.0°, rel. 22

Cell lengths 7.269, 10.485, 2.635 Å; angles 90.00, 90.00, 90.00 degrees
Atoms (fractional coordinates):
Cu (0.000, 0.000, 0.000)
Cu (0.000, 0.250, 0.000)
Cu (0.000, 0.750, 0.000)
Cu (0.237, 0.129, 0.500)
Cu (0.237, 0.871, 0.500)
Cu (0.263, 0.371, 0.500)
Cu (0.263, 0.629, 0.500)
Cu (0.500, 0.250, 0.000)
Cu (0.500, 0.500, 0.000)
Cu (0.500, 0.750, 0.000)
Cu (0.737, 0.371, 0.500)
Cu (0.737, 0.629, 0.500)
Cu (0.763, 0.129, 0.500)
Cu (0.763, 0.871, 0.500)
Ag (0.000, 0.500, 0.000)
Ag (0.500, 0.000, 0.000)

Diffraction record for Li4AlCu2Pd. The powder diffraction line list is computed, not measured: it uses DFT lattice parameters and positions (GGA-PBE) and Cu Kα, 1.54184 Å.
Kinematic intensities with the Lorentz-polarization factor, no thermal factor.

Top 6 peaks for 10° ≤ 2θ ≤ 90°, most intense first:
- 2θ = 42.9°, rel. 100
- 2θ = 25.9°, rel. 99
- 2θ = 50.8°, rel. 30
- 2θ = 78.6°, rel. 20
- 2θ = 21.1°, rel. 16
- 2θ = 50.6°, rel. 15

Cell lengths 4.216, 4.216, 5.982 Å; angles 90.00, 90.00, 90.00 degrees
Atoms (fractional coordinates):
Li (0.000, 0.000, 0.000)
Li (0.000, 0.500, 0.240)
Li (0.500, 0.000, 0.760)
Li (0.500, 0.500, 0.500)
Al (0.000, 0.000, 0.500)
Cu (0.000, 0.500, 0.738)
Cu (0.500, 0.000, 0.262)
Pd (0.500, 0.500, 0.000)

Diffraction record for Pu2ZnAs4. The powder diffraction line list is computed, not measured: it uses DFT lattice parameters and positions (GGA-PBE) and Cu Kα, 1.54184 Å.
Kinematic intensities with the Lorentz-polarization factor, no thermal factor.

Top 6 peaks for 10° ≤ 2θ ≤ 90°, most intense first:
- 2θ = 37.2°, rel. 100
- 2θ = 24.4°, rel. 57
- 2θ = 35.9°, rel. 41
- 2θ = 46.1°, rel. 34
- 2θ = 18.2°, rel. 23
- 2θ = 79.4°, rel. 23

Cell lengths 3.938, 3.938, 9.724 Å; angles 90.00, 90.00, 90.00 degrees
Atoms (fractional coordinates):
Pu (0.000, 0.500, 0.237)
Pu (0.500, 0.000, 0.763)
Zn (0.000, 0.000, 0.500)
As (0.000, 0.000, 0.000)
As (0.000, 0.500, 0.665)
As (0.500, 0.000, 0.335)
As (0.500, 0.500, 0.000)

Diffraction record for Rb2YCdCl6. The powder diffraction line list is computed, not measured: it uses DFT lattice parameters and positions (GGA-PBE) and Cu Kα, 1.54184 Å.
Kinematic intensities with the Lorentz-polarization factor, no thermal factor.

Top 6 peaks for 10° ≤ 2θ ≤ 90°, most intense first:
- 2θ = 23.0°, rel. 100
- 2θ = 32.7°, rel. 76
- 2θ = 46.9°, rel. 51
- 2θ = 40.3°, rel. 46
- 2θ = 63.5°, rel. 24
- 2θ = 52.8°, rel. 22

Cell lengths 7.748, 7.748, 7.748 Å; angles 60.00, 60.00, 60.00 degrees
Atoms (fractional coordinates):
Rb (0.250, 0.250, 0.250)
Rb (0.750, 0.750, 0.750)
Y (0.000, 0.000, 0.000)
Cd (0.500, 0.500, 0.500)
Cl (0.240, 0.240, 0.760)
Cl (0.240, 0.760, 0.240)
Cl (0.240, 0.760, 0.760)
Cl (0.760, 0.240, 0.240)
Cl (0.760, 0.240, 0.760)
Cl (0.760, 0.760, 0.240)

Diffraction record for LiZr2O4. The powder diffraction line list is computed, not measured: it uses DFT lattice parameters and positions (GGA-PBE) and Cu Kα, 1.54184 Å.
Kinematic intensities with the Lorentz-polarization factor, no thermal factor.

Top 6 peaks for 10° ≤ 2θ ≤ 90°, most intense first:
- 2θ = 17.0°, rel. 100
- 2θ = 33.0°, rel. 54
- 2θ = 40.0°, rel. 52
- 2θ = 57.9°, rel. 34
- 2θ = 34.5°, rel. 26
- 2θ = 52.8°, rel. 22

Cell lengths 6.373, 6.373, 6.373 Å; angles 60.00, 60.00, 60.00 degrees
Atoms (fractional coordinates):
Li (0.125, 0.125, 0.125)
Li (0.875, 0.875, 0.875)
Zr (0.000, 0.500, 0.500)
Zr (0.500, 0.000, 0.500)
Zr (0.500, 0.500, 0.000)
Zr (0.500, 0.500, 0.500)
O (0.261, 0.261, 0.261)
O (0.261, 0.261, 0.717)
O (0.261, 0.717, 0.261)
O (0.283, 0.739, 0.739)
O (0.717, 0.261, 0.261)
O (0.739, 0.283, 0.739)
O (0.739, 0.739, 0.283)
O (0.739, 0.739, 0.739)

Diffraction record for TmCdPO. The powder diffraction line list is computed, not measured: it uses DFT lattice parameters and positions (GGA-PBE) and Cu Kα, 1.54184 Å.
Kinematic intensities with the Lorentz-polarization factor, no thermal factor.

Top 6 peaks for 10° ≤ 2θ ≤ 90°, most intense first:
- 2θ = 26.9°, rel. 100
- 2θ = 38.8°, rel. 46
- 2θ = 31.1°, rel. 36
- 2θ = 35.8°, rel. 32
- 2θ = 32.2°, rel. 25
- 2θ = 40.4°, rel. 21

Cell lengths 3.927, 6.144, 6.514 Å; angles 90.00, 90.00, 90.00 degrees
Atoms (fractional coordinates):
Tm (0.000, 0.030, 0.000)
Tm (0.000, 0.970, 0.500)
Cd (0.500, 0.409, 0.375)
Cd (0.500, 0.591, 0.875)
P (0.500, 0.207, 0.736)
P (0.500, 0.793, 0.236)
O (0.000, 0.232, 0.271)
O (0.000, 0.768, 0.771)

Diffraction record for Li5ZrO4. The powder diffraction line list is computed, not measured: it uses DFT lattice parameters and positions (GGA-PBE) and Cu Kα, 1.54184 Å.
Kinematic intensities with the Lorentz-polarization factor, no thermal factor.

Top 6 peaks for 10° ≤ 2θ ≤ 90°, most intense first:
- 2θ = 16.2°, rel. 100
- 2θ = 16.7°, rel. 86
- 2θ = 37.1°, rel. 73
- 2θ = 37.3°, rel. 45
- 2θ = 23.0°, rel. 43
- 2θ = 47.7°, rel. 41

Cell lengths 5.306, 3.109, 5.481 Å; angles 90.00, 91.53, 90.00 degrees
Atoms (fractional coordinates):
Li (0.000, 0.000, 0.000)
Li (0.352, 0.500, 0.145)
Li (0.385, 0.000, 0.678)
Li (0.615, 0.000, 0.322)
Li (0.648, 0.500, 0.855)
Zr (0.000, 0.500, 0.500)
O (0.243, 0.500, 0.817)
O (0.254, 0.000, 0.326)
O (0.746, 0.000, 0.674)
O (0.757, 0.500, 0.183)

Number 1 is which compound?
PrSmZr2As2